Record 1
Structure and computed powder diffractogram of Ho6AuSe4 (a crystal structure in Alexandria, relaxed with PBE; Cu Kα).

Lattice parameters (Å, degrees): 4.013 13.240 20.650 90.00 90.00 90.00
Space group Cmcm (No. 63)
Unique sites:
1 Ho 0.000 0.000 0.000 [4 per cell]
2 Ho 0.000 0.174 0.250 [4 per cell]
3 Ho 0.000 0.272 0.592 [8 per cell]
4 Ho 0.000 0.443 0.167 [8 per cell]
5 Au 0.000 0.164 0.750 [4 per cell]
6 Se 0.000 0.085 0.125 [8 per cell]
7 Se 0.000 0.359 0.038 [8 per cell]

Main lines, by angle (2θ = 10–90°):
Position (°2θ), d (Å), I (rel.)
28.98, 3.082, 21
29.25, 3.054, 78
30.41, 2.939, 46
31.35, 2.854, 100
32.85, 2.726, 35
42.18, 2.142, 33
44.59, 2.032, 25
44.66, 2.029, 29
45.18, 2.007, 34
54.73, 1.677, 32

Record 2
Structure and computed powder diffractogram of Ho3AuSe2 (a crystal structure in Alexandria, relaxed with PBE; Cu Kα).

Lattice parameters (Å, degrees): 3.977 5.840 12.699 90.00 90.00 90.00
Space group Immm (No. 71)
Unique sites:
1 Ho 0.000 0.000 0.000 [2 per cell]
2 Ho 0.000 0.000 0.334 [4 per cell]
3 Au 0.000 0.500 0.000 [2 per cell]
4 Se 0.000 0.500 0.333 [4 per cell]

Main lines, by angle (2θ = 10–90°):
Position (°2θ), d (Å), I (rel.)
30.62, 2.920, 55
30.85, 2.898, 100
42.72, 2.116, 21
44.02, 2.057, 76
45.62, 1.989, 17
53.47, 1.714, 21
55.94, 1.644, 19
72.49, 1.304, 17
72.86, 1.298, 17
79.14, 1.210, 14

Record 3
Structure and computed powder diffractogram of HoAuSe2 (a crystal structure in Alexandria, relaxed with PBE; Cu Kα).

Lattice parameters (Å, degrees): 4.2703 4.2703 23.3618 90.00 90.00 120.00
Space group P3_221 (No. 154)
Unique sites:
1 Ho 0.0000 0.6709 0.3333 [3 per cell]
2 Au 0.0000 0.6646 0.8333 [3 per cell]
3 Se 0.0042 0.6667 0.7293 [6 per cell]

Main lines, by angle (2θ = 10–90°):
Position (°2θ), d (Å), I (rel.)
22.84, 3.894, 16
24.37, 3.653, 18
25.26, 3.526, 100
28.57, 3.124, 22
39.31, 2.292, 38
42.33, 2.135, 43
45.95, 1.975, 33
48.63, 1.872, 13
49.94, 1.826, 16
79.99, 1.199, 13

Record 4
Structure and computed powder diffractogram of Ho8Te4AuSe3 (a crystal structure in Alexandria, relaxed with PBE; Cu Kα).

Lattice parameters (Å, degrees): 8.4064 8.4064 20.9762 90.00 90.00 120.00
Space group R-3m (No. 166, hexagonal axes)
Unique sites:
1 Ho 0.0000 0.0000 0.2393 [6 per cell]
2 Ho 0.0067 0.5033 0.2404 [18 per cell]
3 Te 0.0000 0.0000 0.0000 [3 per cell]
4 Te 0.0000 0.5000 0.0000 [9 per cell]
5 Au 0.0000 0.0000 0.5000 [3 per cell]
6 Se 0.0000 0.5000 0.5000 [9 per cell]

Main lines, by angle (2θ = 10–90°):
Position (°2θ), d (Å), I (rel.)
29.88, 2.990, 100
42.49, 2.128, 34
43.04, 2.102, 38
52.34, 1.748, 5
53.28, 1.719, 20
62.08, 1.495, 11
70.01, 1.344, 13
70.80, 1.331, 17
78.51, 1.218, 11
78.89, 1.213, 6